# 1
Diffraction record for Si23Ru3. The powder X-ray diffraction pattern is theoretical, not measured: it uses a crystal structure in Alexandria, relaxed with GGA-PBE and Cu Kα (λ = 1.5418 Å).
Peak positions follow from Bragg's law for the DFT cell and can differ from measured ones.

Crystal structure
Lattice parameters (Å, degrees): 10.074 10.074 10.074 90.00 90.00 90.00
Positions (direct):
Si 0.000 0.115 0.312
Si 0.000 0.115 0.688
Si 0.000 0.250 0.500
Si 0.000 0.750 0.500
Si 0.000 0.885 0.312
Si 0.000 0.885 0.688
Si 0.115 0.312 0.000
Si 0.115 0.688 0.000
Si 0.184 0.184 0.184
Si 0.184 0.184 0.816
Si 0.184 0.816 0.184
Si 0.184 0.816 0.816
Si 0.188 0.385 0.500
Si 0.188 0.615 0.500
Si 0.250 0.500 0.000
Si 0.312 0.000 0.115
Si 0.312 0.000 0.885
Si 0.316 0.316 0.316
Si 0.316 0.316 0.684
Si 0.316 0.684 0.316
Si 0.316 0.684 0.684
Si 0.385 0.500 0.188
Si 0.385 0.500 0.812
Si 0.500 0.000 0.250
Si 0.500 0.000 0.750
Si 0.500 0.188 0.385
Si 0.500 0.188 0.615
Si 0.500 0.812 0.385
Si 0.500 0.812 0.615
Si 0.615 0.500 0.188
Si 0.615 0.500 0.812
Si 0.684 0.316 0.316
Si 0.684 0.316 0.684
Si 0.684 0.684 0.316
Si 0.684 0.684 0.684
Si 0.688 0.000 0.115
Si 0.688 0.000 0.885
Si 0.750 0.500 0.000
Si 0.812 0.385 0.500
Si 0.812 0.615 0.500
Si 0.816 0.184 0.184
Si 0.816 0.184 0.816
Si 0.816 0.816 0.184
Si 0.816 0.816 0.816
Si 0.885 0.312 0.000
Si 0.885 0.688 0.000
Ru 0.000 0.500 0.250
Ru 0.000 0.500 0.750
Ru 0.250 0.000 0.500
Ru 0.500 0.250 0.000
Ru 0.500 0.750 0.000
Ru 0.750 0.000 0.500

Main lines, by intensity (2θ from 10° to 80°):
d/Å  2θ (°)  Rel. int.  hkl
2.692  33.3  100  3 2 1
2.908  30.7  89  2 2 2
2.794  32.0  87  3 2 0
1.728  53.0  60  5 3 0
1.634  56.3  41  5 3 2
7.124  12.4  33  1 1 0
4.505  19.7  32  2 1 0
2.519  35.6  26  4 0 0
3.186  28.0  22  3 1 0
1.871  48.7  20  5 2 0


# 2
Diffraction record for Si23Ru. The powder X-ray diffraction pattern is theoretical, not measured: it uses a crystal structure in Alexandria, relaxed with GGA-PBE and Cu Kα (λ = 1.5418 Å).
Peak positions follow from Bragg's law for the DFT cell and can differ from measured ones.

Crystal structure
Lattice parameters (Å, degrees): 10.181 10.181 10.181 90.00 90.00 90.00
Positions (direct):
Si 0.000 0.116 0.308
Si 0.000 0.116 0.692
Si 0.000 0.250 0.500
Si 0.000 0.750 0.500
Si 0.000 0.884 0.308
Si 0.000 0.884 0.692
Si 0.116 0.308 0.000
Si 0.116 0.692 0.000
Si 0.182 0.182 0.182
Si 0.182 0.182 0.818
Si 0.182 0.818 0.182
Si 0.182 0.818 0.818
Si 0.192 0.384 0.500
Si 0.192 0.616 0.500
Si 0.250 0.500 0.000
Si 0.308 0.000 0.116
Si 0.308 0.000 0.884
Si 0.318 0.318 0.318
Si 0.318 0.318 0.682
Si 0.318 0.682 0.318
Si 0.318 0.682 0.682
Si 0.384 0.500 0.192
Si 0.384 0.500 0.808
Si 0.500 0.000 0.250
Si 0.500 0.000 0.750
Si 0.500 0.192 0.384
Si 0.500 0.192 0.616
Si 0.500 0.808 0.384
Si 0.500 0.808 0.616
Si 0.616 0.500 0.192
Si 0.616 0.500 0.808
Si 0.682 0.318 0.318
Si 0.682 0.318 0.682
Si 0.682 0.682 0.318
Si 0.682 0.682 0.682
Si 0.692 0.000 0.116
Si 0.692 0.000 0.884
Si 0.750 0.500 0.000
Si 0.808 0.384 0.500
Si 0.808 0.616 0.500
Si 0.818 0.182 0.182
Si 0.818 0.182 0.818
Si 0.818 0.818 0.182
Si 0.818 0.818 0.818
Si 0.884 0.308 0.000
Si 0.884 0.692 0.000
Ru 0.000 0.000 0.000
Ru 0.500 0.500 0.500

Main lines, by intensity (2θ from 10° to 80°):
d/Å  2θ (°)  Rel. int.  hkl
2.721  32.9  100  3 2 1
7.199  12.3  81  1 1 0
1.652  55.7  41  5 3 2
4.553  19.5  38  2 1 0
2.400  37.5  26  3 3 0
1.697  54.0  19  6 0 0
2.469  36.4  13  4 1 0
1.746  52.4  13  5 3 0
2.222  40.6  12  4 2 1
1.721  53.2  11  5 3 1


# 3
Diffraction record for Si3Ru5. The powder X-ray diffraction pattern is theoretical, not measured: it uses a crystal structure in Alexandria, relaxed with GGA-PBE and Cu Kα (λ = 1.5418 Å).
Peak positions follow from Bragg's law for the DFT cell and can differ from measured ones.

Crystal structure
Lattice parameters (Å, degrees): 5.291 9.864 4.045 90.00 90.00 90.00
Positions (direct):
Si 0.000 0.000 0.000
Si 0.127 0.361 0.500
Si 0.373 0.861 0.500
Si 0.500 0.500 0.000
Si 0.627 0.139 0.500
Si 0.873 0.639 0.500
Ru 0.000 0.500 0.000
Ru 0.157 0.773 0.000
Ru 0.166 0.109 0.500
Ru 0.334 0.609 0.500
Ru 0.343 0.273 0.000
Ru 0.500 0.000 0.000
Ru 0.657 0.727 0.000
Ru 0.666 0.391 0.500
Ru 0.834 0.891 0.500
Ru 0.843 0.227 0.000

Main lines, by intensity (2θ from 10° to 80°):
d/Å  2θ (°)  Rel. int.  hkl
2.106  43.0  100  0 4 1
2.160  41.8  86  2 1 1
2.022  44.8  84  0 0 2
2.692  33.3  47  1 2 1
2.061  43.9  41  2 3 0
1.444  64.6  25  2 3 2
3.055  29.2  24  1 1 1
1.250  76.1  19  3 5 1
2.331  38.6  16  2 2 0
1.246  76.4  15  4 1 1


Which formula does entry 2 have?
Si23Ru